[1]
Computed powder diffraction line list of Ba6Ga3O for Cu Kα, 1.54184 Å, from a crystal structure in Alexandria, relaxed with GGA-PBE.

Atomic structure:
```
20
Lattice="5.9614 -8.8411 0.0000 5.9614 8.8411 0.0000 0.0000 0.0000 7.8475" Properties=species:S:1:pos:R:3 pbc="T T T"
Ba 5.9614 7.4222 3.9238
Ba 4.0524 3.9660 2.4763
Ba 5.9614 4.1415 6.3135
Ba 3.7247 0.2937 6.1999
Ba 3.7247 -0.2937 2.2762
Ba 7.8704 3.9660 2.4763
Ba 4.0524 -3.9660 6.4000
Ba 8.1982 0.2937 6.1999
Ba 8.1982 -0.2937 2.2762
Ba 5.9614 -4.1415 2.3897
Ba 7.8704 -3.9660 6.4000
Ba 5.9614 -7.4222 0.0000
Ga 4.6753 6.9074 0.1672
Ga 7.2475 6.9074 0.1672
Ga 5.9614 1.5941 0.6815
Ga 5.9614 -1.5941 4.6053
Ga 4.6753 -6.9074 4.0910
Ga 7.2475 -6.9074 4.0910
O 5.9614 4.8108 3.8770
O 5.9614 -4.8108 7.8007
```

The 10 most intense peaks (10 to 90 degrees two-theta), by intensity:
30.46 deg, rel. 100
29.40 deg, rel. 95
25.63 deg, rel. 55
24.41 deg, rel. 50
33.93 deg, rel. 41
26.29 deg, rel. 37
27.21 deg, rel. 34
41.65 deg, rel. 33
29.06 deg, rel. 32
33.73 deg, rel. 29



[2]
Computed powder diffraction line list of Ba12Ga3O4 for Cu Kα, 1.54184 Å, from a crystal structure in Alexandria, relaxed with GGA-PBE.

Atomic structure:
```
19
Lattice="-5.5112 5.5112 5.5112 5.5112 -5.5112 5.5112 5.5112 5.5112 -5.5112" Properties=species:S:1:pos:R:3 pbc="T T T"
Ba 5.5112 -2.3822 3.0476
Ba 3.1290 2.4635 0.0000
Ba 7.8933 2.4635 0.0000
Ba 3.0476 5.5112 -2.3822
Ba 2.4635 0.0000 3.1290
Ba 5.5112 2.3822 3.0476
Ba 0.0000 3.1290 2.4635
Ba 3.0476 5.5112 2.3822
Ba 2.4635 0.0000 7.8933
Ba -2.3822 3.0476 5.5112
Ba 2.3822 3.0476 5.5112
Ba 0.0000 7.8933 2.4635
Ga 5.5112 0.0000 0.0000
Ga 0.0000 5.5112 0.0000
Ga 0.0000 0.0000 5.5112
O 2.7556 2.7556 -2.7556
O 2.7556 -2.7556 2.7556
O -2.7556 2.7556 2.7556
O 2.7556 2.7556 2.7556
```

The 10 most intense peaks (10 to 90 degrees two-theta), by intensity:
28.04 deg, rel. 100
32.49 deg, rel. 56
46.61 deg, rel. 28
30.34 deg, rel. 27
25.56 deg, rel. 24
51.08 deg, rel. 23
55.28 deg, rel. 20
59.28 deg, rel. 17
48.14 deg, rel. 16
41.79 deg, rel. 13



[3]
Computed powder diffraction line list of Ba4GaO for Cu Kα, 1.54184 Å, from a crystal structure in Alexandria, relaxed with GGA-PBE.

Atomic structure:
```
12
Lattice="10.8859 0.0000 0.0000 0.0000 7.7837 0.0000 0.0000 0.0000 5.9188" Properties=species:S:1:pos:R:3 pbc="T T T"
Ba 0.0000 0.8761 0.0000
Ba 0.0000 6.1297 3.0447
Ba 2.0533 2.4303 3.0139
Ba 3.3896 5.3534 0.0545
Ba 5.4430 1.6540 0.0853
Ba 5.4430 6.9076 2.9594
Ba 7.4963 5.3534 0.0545
Ba 8.8326 2.4303 3.0139
Ga 0.0000 4.1614 0.0907
Ga 5.4430 3.6223 3.0500
O 0.0000 0.8833 3.2572
O 5.4430 6.9004 0.2978
```

The 10 most intense peaks (10 to 90 degrees two-theta), by intensity:
25.00 deg, rel. 100
27.43 deg, rel. 46
30.20 deg, rel. 45
28.65 deg, rel. 40
28.86 deg, rel. 24
27.11 deg, rel. 23
38.44 deg, rel. 19
49.64 deg, rel. 18
50.44 deg, rel. 16
41.03 deg, rel. 15



[4]
Computed powder diffraction line list of BaGaOsO5 for Cu Kα, 1.54184 Å, from a crystal structure in Alexandria, relaxed with GGA-PBE.

Atomic structure:
```
16
Lattice="3.5190 -4.7854 0.0000 3.5190 4.7854 0.0000 -2.9515 0.0000 6.8098" Properties=species:S:1:pos:R:3 pbc="T T T"
Ba 1.3053 3.2133 5.1074
Ba 2.7811 -3.2133 1.7025
Ga 2.7811 2.9143 1.7025
Ga 1.3053 -2.9143 5.1074
Os 3.5190 0.0000 0.0000
Os 2.0432 0.0000 3.4049
O -1.2527 0.6648 6.2134
O 1.6628 1.8909 2.7888
O 0.2230 -0.6648 2.8084
O 3.8994 1.8909 0.6162
O 1.3053 0.3495 5.1074
O 2.7811 -0.3495 1.7025
O 0.1870 -1.8909 6.1937
O 3.8634 0.6648 4.0014
O 2.4237 -1.8909 4.0211
O 5.3391 -0.6648 0.5965
```

The 10 most intense peaks (10 to 90 degrees two-theta), by intensity:
25.97 deg, rel. 100
31.27 deg, rel. 97
27.63 deg, rel. 77
32.27 deg, rel. 55
16.56 deg, rel. 41
35.16 deg, rel. 32
51.20 deg, rel. 29
35.61 deg, rel. 27
40.80 deg, rel. 24
57.95 deg, rel. 20



[5]
Computed powder diffraction line list of BaPaGaO6 for Cu Kα, 1.54184 Å, from a crystal structure in Alexandria, relaxed with GGA-PBE.

Atomic structure:
```
9
Lattice="5.7479 0.0000 0.0000 -2.8740 4.9778 0.0000 0.0000 0.0000 4.8809" Properties=species:S:1:pos:R:3 pbc="T T T"
Ba 0.0000 0.0000 0.0000
Pa 2.8740 1.6593 2.4404
Ga 0.0000 3.3186 0.0000
O -1.1470 2.1188 1.1744
O -1.6125 2.9251 3.7065
O 1.1470 2.1188 3.7065
O -0.4655 4.9118 1.1744
O 1.6125 2.9251 1.1744
O 0.4655 4.9118 3.7065
```

The 10 most intense peaks (10 to 90 degrees two-theta), by intensity:
25.56 deg, rel. 100
31.12 deg, rel. 42
48.97 deg, rel. 34
40.69 deg, rel. 30
52.10 deg, rel. 30
17.82 deg, rel. 18
70.94 deg, rel. 12
55.37 deg, rel. 11
68.36 deg, rel. 10
59.80 deg, rel. 10



[6]
Computed powder diffraction line list of BaPmGaO4 for Cu Kα, 1.54184 Å, from a crystal structure in Alexandria, relaxed with GGA-PBE.

Atomic structure:
```
14
Lattice="5.8494 0.0000 0.0000 0.0000 5.9180 0.0000 -2.2635 0.0000 6.9334" Properties=species:S:1:pos:R:3 pbc="T T T"
Ba 0.2588 1.4795 2.9813
Ba 3.3271 4.4385 3.9521
Pm -0.4092 1.4795 6.6512
Pm 3.9950 4.4385 0.2823
Ga 1.0316 4.4385 1.2061
Ga 2.5542 1.4795 5.7273
O -1.8961 4.4385 6.4128
O -0.4723 4.4385 2.3001
O 2.2764 3.0399 1.4269
O 2.2764 5.8370 1.4269
O 1.3095 0.0810 5.5065
O 1.3095 2.8780 5.5065
O 4.0581 1.4795 4.6333
O 5.4819 1.4795 0.5206
```

The 10 most intense peaks (10 to 90 degrees two-theta), by intensity:
29.88 deg, rel. 100
37.80 deg, rel. 82
21.93 deg, rel. 80
30.20 deg, rel. 66
44.73 deg, rel. 34
40.07 deg, rel. 32
23.41 deg, rel. 29
34.33 deg, rel. 28
32.20 deg, rel. 27
25.71 deg, rel. 24